No. 1
Starting from a DFT-relaxed cell (PBE, Alexandria), the X-ray powder pattern of AcHo6Tm2 was computed for λ = 1.5418 Å (Cu Kα).
Peak positions follow from Bragg's law for the DFT cell and can differ from measured ones.

Structural model:
Cell lengths 3.6028, 3.6028, 26.1842 Å; angles 90.00, 90.00, 120.00 degrees
Element x y z (fractional)
Ac 0.0000 0.0000 0.0000
Ho 0.0000 0.0000 0.2250
Ho 0.0000 0.0000 0.4357
Ho 0.0000 0.0000 0.5643
Ho 0.0000 0.0000 0.7750
Ho 0.3333 0.6667 0.1188
Ho 0.3333 0.6667 0.8812
Tm 0.3333 0.6667 0.3315
Tm 0.3333 0.6667 0.6685

Top 12 peaks for 2θ from 15° to 90°, by angle:
| 2θ/deg | Rel. int. |
| --- | --- |
| 28.6 | 562 |
| 30.7 | 534 |
| 31.8 | 925 |
| 33.4 | 1000 |
| 35.4 | 177 |
| 42.5 | 352 |
| 50.7 | 444 |
| 57.4 | 225 |
| 60.4 | 475 |
| 61.1 | 145 |
| 62.1 | 171 |
| 84.1 | 149 |


No. 2
Starting from a DFT-relaxed cell (PBE, Alexandria), the X-ray powder pattern of AcHo8Tm3 was computed for λ = 1.5418 Å (Cu Kα).
Peak positions follow from Bragg's law for the DFT cell and can differ from measured ones.

Structural model:
Cell lengths 8.4431, 8.4431, 8.4431 Å; angles 99.83, 96.02, 136.43 degrees
Element x y z (fractional)
Ac 0.0000 0.0000 0.0000
Ho 0.0017 0.3389 0.3372
Ho 0.0017 0.6645 0.6628
Ho 0.0900 0.0026 0.4229
Ho 0.0900 0.6671 0.0874
Ho 0.5041 0.3339 0.8298
Ho 0.5041 0.6743 0.1702
Ho 0.5797 0.0026 0.9126
Ho 0.5797 0.6671 0.5771
Tm 0.0851 0.3383 0.7468
Tm 0.5042 0.0042 0.5000
Tm 0.5915 0.3383 0.2532

Top 12 peaks for 2θ from 15° to 90°, by angle:
| 2θ/deg | Rel. int. |
| --- | --- |
| 28.5 | 239 |
| 31.7 | 240 |
| 32.7 | 1000 |
| 43.1 | 156 |
| 50.4 | 199 |
| 57.1 | 204 |
| 60.8 | 226 |
| 61.4 | 165 |
| 79.6 | 78 |
| 83.2 | 47 |
| 83.3 | 94 |
| 87.6 | 83 |


No. 3
Starting from a DFT-relaxed cell (PBE, Alexandria), the X-ray powder pattern of AcHo4Tm7 was computed for λ = 1.5418 Å (Cu Kα).
Peak positions follow from Bragg's law for the DFT cell and can differ from measured ones.

Structural model:
Cell lengths 5.6318, 21.6937, 6.2295 Å; angles 90.00, 90.00, 90.00 degrees
Element x y z (fractional)
Ac 0.2500 0.2500 0.1707
Ac 0.7500 0.7500 0.8293
Ho 0.2500 0.0810 0.1689
Ho 0.2500 0.4190 0.1689
Ho 0.2500 0.5824 0.1678
Ho 0.2500 0.9176 0.1678
Ho 0.7500 0.0824 0.8322
Ho 0.7500 0.4176 0.8322
Ho 0.7500 0.5810 0.8311
Ho 0.7500 0.9190 0.8311
Tm 0.2500 0.0000 0.6660
Tm 0.2500 0.1636 0.6676
Tm 0.2500 0.3364 0.6676
Tm 0.2500 0.5000 0.6660
Tm 0.2500 0.6634 0.6634
Tm 0.2500 0.7500 0.1761
Tm 0.2500 0.8366 0.6634
Tm 0.7500 0.0000 0.3340
Tm 0.7500 0.1634 0.3366
Tm 0.7500 0.2500 0.8239
Tm 0.7500 0.3366 0.3366
Tm 0.7500 0.5000 0.3340
Tm 0.7500 0.6636 0.3324
Tm 0.7500 0.8364 0.3324

Top 12 peaks for 2θ from 15° to 90°, by angle:
| 2θ/deg | Rel. int. |
| --- | --- |
| 28.5 | 229 |
| 28.7 | 124 |
| 31.8 | 360 |
| 32.8 | 1000 |
| 32.9 | 485 |
| 43.3 | 232 |
| 50.5 | 98 |
| 50.7 | 195 |
| 57.3 | 307 |
| 60.9 | 111 |
| 61.1 | 224 |
| 61.6 | 158 |


No. 4
Starting from a DFT-relaxed cell (PBE, Alexandria), the X-ray powder pattern of Ac8YHo4 was computed for λ = 1.5418 Å (Cu Kα).
Peak positions follow from Bragg's law for the DFT cell and can differ from measured ones.

Structural model:
Cell lengths 8.3049, 8.3049, 8.3049 Å; angles 90.04, 90.04, 90.04 degrees
Element x y z (fractional)
Ac 0.2423 0.2423 0.2423
Ac 0.2423 0.2423 0.7574
Ac 0.2423 0.7574 0.2423
Ac 0.2426 0.7577 0.7577
Ac 0.7574 0.2423 0.2423
Ac 0.7577 0.2426 0.7577
Ac 0.7577 0.7577 0.2426
Ac 0.7577 0.7577 0.7577
Y 0.5000 0.5000 0.5000
Ho 0.0000 0.0000 0.0000
Ho 0.0000 0.5000 0.5000
Ho 0.5000 0.0000 0.5000
Ho 0.5000 0.5000 0.0000

Top 12 peaks for 2θ from 15° to 90°, by angle:
| 2θ/deg | Rel. int. |
| --- | --- |
| 18.5 | 113 |
| 21.4 | 192 |
| 30.4 | 1000 |
| 35.9 | 66 |
| 37.5 | 62 |
| 43.6 | 188 |
| 49.1 | 87 |
| 54.1 | 399 |
| 63.4 | 123 |
| 71.9 | 168 |
| 80.0 | 42 |
| 88.0 | 202 |


No. 5
Starting from a DFT-relaxed cell (PBE, Alexandria), the X-ray powder pattern of Ac2YHo5 was computed for λ = 1.5418 Å (Cu Kα).
Peak positions follow from Bragg's law for the DFT cell and can differ from measured ones.

Structural model:
Cell lengths 9.1857, 9.1857, 9.1857 Å; angles 142.96, 142.96, 53.38 degrees
Element x y z (fractional)
Ac 0.2504 0.2504 0.0000
Ac 0.7496 0.7496 0.0000
Y 0.0000 0.0000 0.0000
Ho 0.1113 0.6113 0.5000
Ho 0.3887 0.8887 0.5000
Ho 0.5000 0.5000 0.0000
Ho 0.6113 0.1113 0.5000
Ho 0.8887 0.3887 0.5000

Top 12 peaks for 2θ from 15° to 90°, by angle:
| 2θ/deg | Rel. int. |
| --- | --- |
| 24.1 | 61 |
| 30.7 | 1000 |
| 43.9 | 131 |
| 44.1 | 51 |
| 54.5 | 264 |
| 54.7 | 110 |
| 63.8 | 44 |
| 64.0 | 68 |
| 72.5 | 117 |
| 88.8 | 70 |
| 88.9 | 59 |
| 89.1 | 43 |


No. 6
Starting from a DFT-relaxed cell (PBE, Alexandria), the X-ray powder pattern of AcY8Ho3 was computed for λ = 1.5418 Å (Cu Kα).
Peak positions follow from Bragg's law for the DFT cell and can differ from measured ones.

Structural model:
Cell lengths 8.5460, 8.5460, 8.5460 Å; angles 99.92, 95.95, 136.39 degrees
Element x y z (fractional)
Ac 0.0000 0.0000 0.0000
Y 0.0874 0.6660 0.0880
Y 0.0874 0.9994 0.4214
Y 0.5001 0.3314 0.8312
Y 0.5001 0.6689 0.1688
Y 0.5780 0.6660 0.5786
Y 0.5780 0.9994 0.9120
Y 0.9979 0.3350 0.3371
Y 0.9979 0.6608 0.6629
Ho 0.0797 0.3333 0.7464
Ho 0.5021 0.0021 0.5000
Ho 0.5868 0.3333 0.2536

Top 12 peaks for 2θ from 15° to 90°, by angle:
| 2θ/deg | Rel. int. |
| --- | --- |
| 16.1 | 99 |
| 22.4 | 92 |
| 28.1 | 241 |
| 31.3 | 240 |
| 32.3 | 1000 |
| 42.5 | 155 |
| 49.8 | 197 |
| 56.3 | 201 |
| 59.9 | 221 |
| 60.5 | 161 |
| 82.1 | 135 |
| 86.3 | 79 |


No. 7
Starting from a DFT-relaxed cell (PBE, Alexandria), the X-ray powder pattern of AcY8Ho2 was computed for λ = 1.5418 Å (Cu Kα).
Peak positions follow from Bragg's law for the DFT cell and can differ from measured ones.

Structural model:
Cell lengths 10.3666, 10.3666, 5.5299 Å; angles 92.86, 92.86, 39.90 degrees
Element x y z (fractional)
Ac 0.0000 0.0000 0.0000
Y 0.1322 0.5947 0.2703
Y 0.1908 0.1908 0.2351
Y 0.4053 0.8678 0.7297
Y 0.4522 0.4522 0.7610
Y 0.5478 0.5478 0.2390
Y 0.5947 0.1322 0.2703
Y 0.8092 0.8092 0.7649
Y 0.8678 0.4053 0.7297
Ho 0.2852 0.2852 0.7538
Ho 0.7148 0.7148 0.2462

Top 12 peaks for 2θ from 15° to 90°, by angle:
| 2θ/deg | Rel. int. |
| --- | --- |
| 21.1 | 251 |
| 25.0 | 130 |
| 25.2 | 173 |
| 31.2 | 1000 |
| 31.3 | 467 |
| 31.5 | 265 |
| 31.7 | 163 |
| 32.4 | 197 |
| 32.8 | 165 |
| 33.3 | 129 |
| 35.8 | 138 |
| 61.6 | 151 |


No. 8
Starting from a DFT-relaxed cell (PBE, Alexandria), the X-ray powder pattern of Ac2Y5Ho6 was computed for λ = 1.5418 Å (Cu Kα).
Peak positions follow from Bragg's law for the DFT cell and can differ from measured ones.

Structural model:
Cell lengths 11.9001, 20.3932, 3.6502 Å; angles 90.00, 90.00, 90.00 degrees
Element x y z (fractional)
Ac 0.1627 0.2227 0.0000
Ac 0.3373 0.7227 0.0000
Ac 0.6627 0.2773 0.0000
Ac 0.8373 0.7773 0.0000
Y 0.0000 0.5000 0.5000
Y 0.0980 0.7839 0.5000
Y 0.1998 0.0537 0.5000
Y 0.3002 0.5537 0.5000
Y 0.4020 0.2839 0.5000
Y 0.5000 0.0000 0.5000
Y 0.5980 0.7161 0.5000
Y 0.6998 0.4463 0.5000
Y 0.8002 0.9463 0.5000
Y 0.9020 0.2161 0.5000
Ho 0.0614 0.9263 0.0000
Ho 0.0734 0.6387 0.0000
Ho 0.1816 0.3815 0.5000
Ho 0.3184 0.8815 0.5000
Ho 0.4266 0.1387 0.0000
Ho 0.4386 0.4263 0.0000
Ho 0.5614 0.5737 0.0000
Ho 0.5734 0.8613 0.0000
Ho 0.6816 0.1185 0.5000
Ho 0.8184 0.6185 0.5000
Ho 0.9266 0.3613 0.0000
Ho 0.9386 0.0737 0.0000

Top 12 peaks for 2θ from 15° to 90°, by angle:
| 2θ/deg | Rel. int. |
| --- | --- |
| 27.0 | 126 |
| 30.0 | 114 |
| 30.4 | 377 |
| 31.1 | 201 |
| 31.5 | 161 |
| 31.6 | 1000 |
| 33.7 | 225 |
| 36.0 | 146 |
| 50.0 | 128 |
| 51.9 | 129 |
| 55.7 | 124 |
| 59.6 | 116 |


No. 9
Starting from a DFT-relaxed cell (PBE, Alexandria), the X-ray powder pattern of AcYHo3 was computed for λ = 1.5418 Å (Cu Kα).
Peak positions follow from Bragg's law for the DFT cell and can differ from measured ones.

Structural model:
Cell lengths 9.1800, 9.1800, 7.1024 Å; angles 90.00, 90.00, 145.43 degrees
Element x y z (fractional)
Ac 0.1978 0.8022 0.5000
Ac 0.8022 0.1978 0.0000
Y 0.4004 0.5996 0.2559
Y 0.5996 0.4004 0.7559
Ho 0.0013 0.9987 0.0008
Ho 0.1894 0.8106 0.0003
Ho 0.3987 0.6013 0.7445
Ho 0.6013 0.3987 0.2445
Ho 0.8106 0.1894 0.5003
Ho 0.9987 0.0013 0.5008

Top 12 peaks for 2θ from 15° to 90°, by angle:
| 2θ/deg | Rel. int. |
| --- | --- |
| 30.3 | 1000 |
| 30.5 | 786 |
| 32.4 | 253 |
| 32.8 | 418 |
| 33.8 | 151 |
| 39.7 | 126 |
| 40.0 | 234 |
| 46.8 | 183 |
| 52.6 | 213 |
| 57.1 | 303 |
| 60.9 | 277 |
| 62.4 | 132 |


No. 10
Starting from a DFT-relaxed cell (PBE, Alexandria), the X-ray powder pattern of Ac3Y7Ho2 was computed for λ = 1.5418 Å (Cu Kα).
Peak positions follow from Bragg's law for the DFT cell and can differ from measured ones.

Structural model:
Cell lengths 3.7022, 5.8752, 19.6790 Å; angles 87.13, 84.61, 90.00 degrees
Element x y z (fractional)
Ac 0.0000 0.0000 0.0000
Ac 0.3220 0.2749 0.3564
Ac 0.6780 0.7251 0.6436
Y 0.0859 0.6996 0.8278
Y 0.2283 0.2427 0.5434
Y 0.4286 0.8033 0.1431
Y 0.5000 0.5000 0.0000
Y 0.5714 0.1967 0.8569
Y 0.7717 0.7573 0.4566
Y 0.9141 0.3004 0.1722
Ho 0.1424 0.2140 0.7148
Ho 0.8576 0.7860 0.2852

Top 12 peaks for 2θ from 15° to 90°, by angle:
| 2θ/deg | Rel. int. |
| --- | --- |
| 27.3 | 364 |
| 28.5 | 902 |
| 29.5 | 372 |
| 30.5 | 366 |
| 30.6 | 504 |
| 30.7 | 378 |
| 31.0 | 1000 |
| 31.7 | 407 |
| 32.1 | 500 |
| 32.4 | 457 |
| 34.9 | 428 |
| 53.1 | 412 |


No. 11
Starting from a DFT-relaxed cell (PBE, Alexandria), the X-ray powder pattern of Ac7Y4Ho was computed for λ = 1.5418 Å (Cu Kα).
Peak positions follow from Bragg's law for the DFT cell and can differ from measured ones.

Structural model:
Cell lengths 6.9927, 7.1074, 9.9892 Å; angles 90.15, 104.02, 96.02 degrees
Element x y z (fractional)
Ac 0.0000 0.0000 0.0000
Ac 0.1996 0.3700 0.5986
Ac 0.2972 0.8268 0.3686
Ac 0.4909 0.2495 0.9401
Ac 0.5091 0.7505 0.0599
Ac 0.7028 0.1732 0.6314
Ac 0.8004 0.6300 0.4014
Y 0.1626 0.8543 0.7089
Y 0.3536 0.3248 0.2702
Y 0.6464 0.6752 0.7298
Y 0.8374 0.1457 0.2911
Ho 0.0000 0.5000 0.0000

Top 12 peaks for 2θ from 15° to 90°, by angle:
| 2θ/deg | Rel. int. |
| --- | --- |
| 15.7 | 252 |
| 27.6 | 534 |
| 28.3 | 562 |
| 29.5 | 956 |
| 29.8 | 985 |
| 30.1 | 664 |
| 30.1 | 1000 |
| 30.7 | 350 |
| 30.8 | 450 |
| 31.5 | 398 |
| 43.8 | 263 |
| 53.0 | 260 |


No. 12
Starting from a DFT-relaxed cell (PBE, Alexandria), the X-ray powder pattern of AcY12Ho2 was computed for λ = 1.5418 Å (Cu Kα).
Peak positions follow from Bragg's law for the DFT cell and can differ from measured ones.

Structural model:
Cell lengths 6.6982, 6.6982, 24.5538 Å; angles 92.28, 92.28, 114.70 degrees
Element x y z (fractional)
Ac 0.2498 0.2498 0.9995
Ac 0.7502 0.7502 0.0005
Y 0.0510 0.5490 0.2045
Y 0.0800 0.5853 0.3317
Y 0.1345 0.6420 0.5544
Y 0.1470 0.1470 0.5723
Y 0.2151 0.2151 0.8563
Y 0.2317 0.7316 0.9217
Y 0.2684 0.7683 0.0783
Y 0.2844 0.2844 0.1425
Y 0.3580 0.8655 0.4456
Y 0.3593 0.3593 0.4230
Y 0.4147 0.9200 0.6683
Y 0.4510 0.9490 0.7955
Y 0.5490 0.0510 0.2045
Y 0.5853 0.0800 0.3317
Y 0.6407 0.6407 0.5770
Y 0.6420 0.1345 0.5544
Y 0.7156 0.7156 0.8575
Y 0.7316 0.2317 0.9217
Y 0.7683 0.2684 0.0783
Y 0.7849 0.7849 0.1437
Y 0.8530 0.8530 0.4277
Y 0.8655 0.3580 0.4456
Y 0.9200 0.4147 0.6683
Y 0.9490 0.4510 0.7955
Ho 0.0706 0.0706 0.2750
Ho 0.4345 0.4345 0.7255
Ho 0.5655 0.5655 0.2745
Ho 0.9294 0.9294 0.7250

Top 12 peaks for 2θ from 15° to 90°, by angle:
| 2θ/deg | Rel. int. |
| --- | --- |
| 25.5 | 194 |
| 29.9 | 767 |
| 30.1 | 1000 |
| 30.8 | 674 |
| 31.7 | 869 |
| 31.9 | 695 |
| 32.1 | 642 |
| 33.3 | 370 |
| 45.6 | 509 |
| 50.5 | 231 |
| 59.3 | 208 |
| 60.9 | 261 |